(1)
# NaCuPt
Calculated XRD peak list, copper Kα. Input: DFT lattice parameters and positions (GGA-PBE).

Cell lengths 5.143, 5.402, 7.296 Å; angles 90.00, 90.00, 90.00 degrees
Space group Imma (No. 74)
Inequivalent atoms, fractional coordinates:
Na1 0.000 0.250 0.129
Cu1 0.250 0.250 0.750
Pt1 0.000 0.000 0.500

Most intense lines, 10 to 80 degrees two-theta, in order of rising 2θ:
- 21.13 deg, 4.204 Å, rel. 100, hkl 1 0 1
- 24.40 deg, 3.648 Å, rel. 17, hkl 0 0 2
- 39.66 deg, 2.272 Å, rel. 58, hkl 1 2 1
- 40.75 deg, 2.214 Å, rel. 14, hkl 2 1 1
- 41.05 deg, 2.199 Å, rel. 27, hkl 1 0 3
- 41.60 deg, 2.171 Å, rel. 40, hkl 0 2 2
- 43.03 deg, 2.102 Å, rel. 36, hkl 2 0 2
- 48.90 deg, 1.863 Å, rel. 20, hkl 2 2 0
- 53.76 deg, 1.705 Å, rel. 17, hkl 1 2 3
- 72.54 deg, 1.303 Å, rel. 18, hkl 2 2 4

(2)
# KNb3O8
Calculated XRD peak list, copper Kα. Input: DFT lattice parameters and positions (GGA-PBE).

Cell lengths 3.845, 21.778, 9.118 Å; angles 90.00, 90.00, 90.00 degrees
Space group Cmcm (No. 63)
Inequivalent atoms, fractional coordinates:
K1 0.000 0.017 0.250
Nb1 0.000 0.243 0.750
Nb2 0.000 0.368 0.059
O1 0.000 0.158 0.592
O2 0.000 0.284 0.250
O3 0.000 0.296 0.594
O4 0.000 0.413 0.250
O5 0.000 0.431 0.564

Most intense lines, 10 to 80 degrees two-theta, in order of rising 2θ:
- 12.66 deg, 6.991 Å, rel. 49, hkl 0 2 1
- 23.49 deg, 3.787 Å, rel. 23, hkl 1 1 0
- 25.48 deg, 3.496 Å, rel. 100, hkl 0 4 2
- 26.23 deg, 3.398 Å, rel. 34, hkl 1 3 0
- 28.02 deg, 3.184 Å, rel. 42, hkl 1 3 1
- 30.69 deg, 2.913 Å, rel. 28, hkl 1 1 2
- 38.64 deg, 2.330 Å, rel. 22, hkl 0 6 3
- 47.28 deg, 1.923 Å, rel. 21, hkl 2 0 0
- 48.07 deg, 1.893 Å, rel. 22, hkl 1 7 3
- 54.46 deg, 1.685 Å, rel. 27, hkl 2 4 2

(3)
# Dy6Y3Th2
Calculated XRD peak list, copper Kα. Input: DFT lattice parameters and positions (GGA-PBE).

Cell lengths 3.5678, 3.5678, 95.4018 Å; angles 90.00, 90.00, 120.00 degrees
Space group R-3m (No. 166, hexagonal axes)
Inequivalent atoms, fractional coordinates:
Dy1 0.0000 0.0000 0.0917
Dy2 0.0000 0.0000 0.1823
Dy3 0.0000 0.0000 0.3637
Y1 0.0000 0.0000 0.0000
Y2 0.0000 0.0000 0.2726
Th1 0.0000 0.0000 0.4548

Most intense lines, 10 to 80 degrees two-theta, in order of rising 2θ:
- 30.72 deg, 2.911 Å, rel. 100, hkl 0 1 11
- 30.93 deg, 2.891 Å, rel. 33, hkl 0 0 33
- 35.68 deg, 2.516 Å, rel. 67, hkl 1 0 22
- 51.21 deg, 1.784 Å, rel. 25, hkl 1 1 0
- 51.49 deg, 1.775 Å, rel. 23, hkl 0 1 44
- 60.91 deg, 1.521 Å, rel. 14, hkl 2 0 11
- 61.04 deg, 1.518 Å, rel. 28, hkl 1 1 33
- 61.29 deg, 1.513 Å, rel. 14, hkl 1 0 55
- 63.97 deg, 1.455 Å, rel. 12, hkl 0 2 22
- 75.57 deg, 1.258 Å, rel. 8, hkl 2 0 44